No. 1
This entry pairs a crystal structure of NbCrO4 with its theoretical powder diffraction line list. Radiation: λ = 1.5418 Å (Cu Kα). Structure: a crystal structure in Alexandria, relaxed with PBE+U.

Principal peaks in the range 2θ from 5° to 70°, in order of falling intensity:
2theta  I/Imax
27.63  100
30.04  41
54.15  35
35.40  26
47.67  24
54.68  19
36.13  14
64.50  13
23.40  11
59.92  11

Crystal structure
Lattice parameters (Å, degrees): 4.5517 11.7914 4.9721 90.00 90.00 90.00
Positions (direct):
Nb 0.0000 0.1712 0.2500
Nb 0.0000 0.8288 0.7500
Nb 0.5000 0.3288 0.7500
Nb 0.5000 0.6712 0.2500
Cr 0.0000 0.4336 0.2500
Cr 0.0000 0.5664 0.7500
Cr 0.5000 0.0664 0.7500
Cr 0.5000 0.9336 0.2500
O 0.2300 0.3088 0.0760
O 0.2300 0.6912 0.5760
O 0.2414 0.4393 0.5842
O 0.2414 0.5607 0.0842
O 0.2586 0.0607 0.0842
O 0.2586 0.9393 0.5842
O 0.2700 0.1912 0.5760
O 0.2700 0.8088 0.0760
O 0.7300 0.1912 0.9240
O 0.7300 0.8088 0.4240
O 0.7414 0.0607 0.4158
O 0.7414 0.9393 0.9158
O 0.7586 0.4393 0.9158
O 0.7586 0.5607 0.4158
O 0.7700 0.3088 0.4240
O 0.7700 0.6912 0.9240

***

No. 2
This entry pairs a crystal structure of NbCr3P6O24 with its theoretical powder diffraction line list. Radiation: λ = 1.5418 Å (Cu Kα). Structure: a crystal structure in Alexandria, relaxed with PBE+U.

Principal peaks in the range 2θ from 5° to 70°, in order of falling intensity:
2theta  I/Imax
23.98  100
20.10  75
28.95  55
14.36  49
20.62  39
32.12  36
36.13  17
32.01  16
56.54  16
35.81  16

Crystal structure
Lattice parameters (Å, degrees): 8.8420 8.8420 8.8420 58.29 58.29 58.29
Positions (direct):
Nb 0.0000 0.0000 0.0000
Cr 0.2185 0.2185 0.2185
Cr 0.5044 0.5044 0.5044
Cr 0.7192 0.7192 0.7192
P 0.1088 0.4019 0.8272
P 0.3360 0.8940 0.6018
P 0.4019 0.8272 0.1088
P 0.6018 0.3360 0.8940
P 0.8272 0.1088 0.4019
P 0.8940 0.6018 0.3360
O 0.0032 0.1274 0.3744
O 0.0624 0.4176 0.3287
O 0.0671 0.2351 0.8609
O 0.1274 0.3744 0.0032
O 0.1453 0.9404 0.7657
O 0.2351 0.8609 0.0671
O 0.2881 0.4163 0.6507
O 0.3287 0.0624 0.4176
O 0.3524 0.7183 0.5905
O 0.3744 0.0032 0.1274
O 0.4163 0.6507 0.2881
O 0.4176 0.3287 0.0624
O 0.4942 0.8642 0.6506
O 0.5905 0.3524 0.7183
O 0.5901 0.7853 0.9460
O 0.6507 0.2881 0.4163
O 0.6506 0.4942 0.8642
O 0.7183 0.5905 0.3524
O 0.7657 0.1453 0.9404
O 0.7853 0.9460 0.5901
O 0.8609 0.0671 0.2351
O 0.8642 0.6506 0.4942
O 0.9404 0.7657 0.1453
O 0.9460 0.5901 0.7853

***

No. 3
This entry pairs a crystal structure of PmNbCrO6 with its theoretical powder diffraction line list. Radiation: λ = 1.5418 Å (Cu Kα). Structure: a crystal structure in Alexandria, relaxed with PBE+U.

Principal peaks in the range 2θ from 5° to 70°, in order of falling intensity:
2theta  I/Imax
25.82  100
33.30  78
50.50  64
36.84  19
64.13  19
53.09  17
20.39  15
59.96  15
63.70  14
31.86  10

Crystal structure
Lattice parameters (Å, degrees): 4.8789 4.8789 9.6764 90.00 90.00 90.00
Positions (direct):
Pm 0.0000 0.0000 0.0000
Pm 0.5000 0.5000 0.5000
Nb 0.0000 0.0000 0.3402
Nb 0.5000 0.5000 0.8402
Cr 0.0000 0.0000 0.6717
Cr 0.5000 0.5000 0.1717
O 0.1723 0.1723 0.5102
O 0.2137 0.2137 0.8145
O 0.2202 0.2202 0.1952
O 0.2798 0.7202 0.6952
O 0.2863 0.7137 0.3145
O 0.3277 0.6723 0.0102
O 0.6723 0.3277 0.0102
O 0.7137 0.2863 0.3145
O 0.7202 0.2798 0.6952
O 0.7798 0.7798 0.1952
O 0.7863 0.7863 0.8145
O 0.8277 0.8277 0.5102

***

No. 4
This entry pairs a crystal structure of NbCrSn2O6 with its theoretical powder diffraction line list. Radiation: λ = 1.5418 Å (Cu Kα). Structure: a crystal structure in Alexandria, relaxed with PBE+U.

Principal peaks in the range 2θ from 5° to 70°, in order of falling intensity:
2theta  I/Imax
31.57  100
56.21  40
45.25  34
65.91  20
38.92  11
19.18  3
22.18  2
50.94  2
37.20  2
49.57  1

Crystal structure
Lattice parameters (Å, degrees): 5.6686 5.6686 5.6686 60.00 60.00 60.00
Positions (direct):
Nb 0.0000 0.0000 0.0000
Cr 0.5000 0.5000 0.5000
Sn 0.2500 0.2500 0.2500
Sn 0.7500 0.7500 0.7500
O 0.2504 0.2504 0.7496
O 0.2504 0.7496 0.2504
O 0.2504 0.7496 0.7496
O 0.7496 0.2504 0.2504
O 0.7496 0.2504 0.7496
O 0.7496 0.7496 0.2504

***

No. 5
This entry pairs a crystal structure of NbCrSnO6 with its theoretical powder diffraction line list. Radiation: λ = 1.5418 Å (Cu Kα). Structure: a crystal structure in Alexandria, relaxed with PBE+U.

Principal peaks in the range 2θ from 5° to 70°, in order of falling intensity:
2theta  I/Imax
28.16  100
54.24  58
34.25  55
40.00  49
20.04  39
44.91  27
57.66  25
61.32  25
19.57  13
65.21  10

Crystal structure
Lattice parameters (Å, degrees): 5.2369 5.2369 8.8594 90.00 90.00 120.00
Positions (direct):
Nb 0.3333 0.6667 0.2500
Nb 0.6667 0.3333 0.7500
Cr 0.0000 0.0000 0.0000
Cr 0.0000 0.0000 0.5000
Sn 0.3333 0.6667 0.7500
Sn 0.6667 0.3333 0.2500
O 0.0113 0.3384 0.1266
O 0.0113 0.6729 0.3734
O 0.3271 0.3384 0.3734
O 0.3271 0.9887 0.1266
O 0.3384 0.0113 0.6266
O 0.3384 0.3271 0.8734
O 0.6616 0.6729 0.1266
O 0.6616 0.9887 0.3734
O 0.6729 0.0113 0.8734
O 0.6729 0.6616 0.6266
O 0.9887 0.3271 0.6266
O 0.9887 0.6616 0.8734

***

No. 6
This entry pairs a crystal structure of NbTl2CrO6 with its theoretical powder diffraction line list. Radiation: λ = 1.5418 Å (Cu Kα). Structure: a crystal structure in Alexandria, relaxed with PBE+U.

Principal peaks in the range 2θ from 5° to 70°, in order of falling intensity:
2theta  I/Imax
30.62  100
54.44  29
28.06  27
42.02  16
43.85  16
23.47  14
63.78  12
57.70  12
38.95  11
44.88  9

Crystal structure
Lattice parameters (Å, degrees): 10.1237 10.1237 10.1237 33.51 33.51 33.51
Positions (direct):
Nb 0.0000 0.0000 0.0000
Nb 0.5000 0.5000 0.5000
Tl 0.1250 0.1250 0.1250
Tl 0.2701 0.2701 0.2701
Tl 0.7299 0.7299 0.7299
Tl 0.8750 0.8750 0.8750
Cr 0.4043 0.4043 0.4043
Cr 0.5957 0.5957 0.5957
O 0.1557 0.6018 0.6018
O 0.2059 0.2059 0.7050
O 0.2059 0.7050 0.2059
O 0.2950 0.7941 0.7941
O 0.3982 0.3982 0.8443
O 0.3982 0.8443 0.3982
O 0.6018 0.1557 0.6018
O 0.6018 0.6018 0.1557
O 0.7050 0.2059 0.2059
O 0.7941 0.2950 0.7941
O 0.7941 0.7941 0.2950
O 0.8443 0.3982 0.3982

***

No. 7
This entry pairs a crystal structure of Nb2Zn2CrO8 with its theoretical powder diffraction line list. Radiation: λ = 1.5418 Å (Cu Kα). Structure: a crystal structure in Alexandria, relaxed with PBE+U.

Principal peaks in the range 2θ from 5° to 70°, in order of falling intensity:
2theta  I/Imax
32.34  100
34.28  96
31.92  83
27.19  79
33.94  60
9.05  43
51.15  42
60.95  38
51.38  36
50.92  29

Crystal structure
Lattice parameters (Å, degrees): 10.2286 10.2286 5.2831 90.94 90.94 34.24
Positions (direct):
Nb 0.0719 0.3944 0.9674
Nb 0.1595 0.8405 0.5000
Nb 0.3944 0.0719 0.4674
Nb 0.8405 0.1595 0.0000
Zn 0.2419 0.5495 0.9962
Zn 0.5495 0.2419 0.4962
Zn 0.6858 0.9906 0.9730
Zn 0.9906 0.6858 0.4730
Cr 0.4656 0.7667 0.9932
Cr 0.7667 0.4656 0.4932
O 0.0375 0.8338 0.7965
O 0.0808 0.2984 0.2990
O 0.1644 0.9261 0.1678
O 0.1921 0.4041 0.6733
O 0.2805 0.5672 0.3684
O 0.2984 0.0808 0.7990
O 0.4041 0.1921 0.1733
O 0.4157 0.6999 0.6659
O 0.5487 0.7990 0.3254
O 0.5672 0.2805 0.8684
O 0.6647 0.9563 0.6019
O 0.6999 0.4157 0.1659
O 0.7990 0.5487 0.8254
O 0.8338 0.0375 0.2965
O 0.9261 0.1644 0.6678
O 0.9563 0.6647 0.1019